This entry pairs a crystal structure of TmGaNi2 with its theoretical PXRD pattern. Radiation: CuKα. Structure: a cell relaxed with PBE.
No peak broadening, texture or thermal motion is included.

Atomic structure:
```
data_TmGaNi2
_chemical_formula_sum 'Tm1 Ga1 Ni2'
_cell_length_a 4.3986
_cell_length_b 4.3986
_cell_length_c 4.3986
_cell_angle_alpha 60.00
_cell_angle_beta 60.00
_cell_angle_gamma 60.00
_symmetry_space_group_name_H-M 'P 1'
_symmetry_Int_Tables_number 1
loop_
_symmetry_equiv_pos_as_xyz
'x,y,z'
loop_
_atom_site_label
_atom_site_fract_x
_atom_site_fract_y
_atom_site_fract_z
_atom_site_occupancy
Tm1 0.0000 0.0000 0.0000 1
Ga1 0.5000 0.5000 0.5000 1
Ni1 0.2500 0.2500 0.2500 1
Ni2 0.7500 0.7500 0.7500 1
```

Main lines, by angle (10° ≤ 2θ ≤ 90°):
d (Å), I_rel
3.591, 160
3.110, 114
2.199, 1000
1.876, 82
1.796, 34
1.555, 163
1.427, 35
1.391, 47
1.270, 324
1.100, 105